EuZnGe: calculated PXRD pattern (λ = 1.5418 Å (Cu Kα)), based on a DFT-relaxed cell (PBE, the Materials Project).
No peak broadening, texture or thermal motion is included.

Main lines, most intense first (2θ from 10° to 90°):
- d = 2.856 Å, 31.3°, I = 100.0, hkl 1 1 1
- d = 2.873 Å, 31.1°, I = 47.7, hkl 0 1 2
- d = 2.184 Å, 41.3°, I = 38.0, hkl 1 0 3
- d = 1.549 Å, 59.7°, I = 25.2, hkl 1 2 3
- d = 1.727 Å, 53.0°, I = 21.0, hkl 2 1 2
- d = 2.198 Å, 41.1°, I = 20.8, hkl 0 2 0

Cell and atoms:
Unit cell a=4.3220 b=4.3968 c=7.5918 alpha=90.00 beta=90.00 gamma=90.00
Sites, in units of the cell vectors:
Eu 0.2500 0.0000 0.2325
Eu 0.7500 0.0000 0.7675
Zn 0.2500 0.5000 0.5756
Zn 0.7500 0.5000 0.4244
Ge 0.2500 0.5000 0.9065
Ge 0.7500 0.5000 0.0935